[1]
Structure and theoretical XRD peak list of Li2Pa2O5F2 (a crystal structure in Alexandria, relaxed with GGA-PBE; λ = 1.5418 Å (Cu Kα)).

Most intense lines, 10° ≤ 2θ ≤ 90°, by angle:
4.692 Å, 18.92 deg, I = 51.0; 4.219 Å, 21.06 deg, I = 100.0; 3.560 Å, 25.01 deg, I = 26.4; 3.062 Å, 29.17 deg, I = 35.4; 2.836 Å, 31.54 deg, I = 41.1; 2.564 Å, 34.99 deg, I = 22.0; 2.165 Å, 41.72 deg, I = 22.7; 1.926 Å, 47.18 deg, I = 24.5; 1.879 Å, 48.46 deg, I = 24.7; 1.419 Å, 65.82 deg, I = 21.3

```
Li2Pa2O5F2
1.0
-2.1651 2.1651 9.3833
2.1651 -2.1651 9.3833
2.1651 2.1651 -9.3833
Li Pa O F
2 2 5 2
direct
0.1716 0.1716 0.0000 Li
0.8284 0.8284 0.0000 Li
0.3867 0.3867 0.0000 Pa
0.6133 0.6133 0.0000 Pa
0.1259 0.6259 0.5000 O
0.3741 0.8741 0.5000 O
0.5000 0.5000 0.0000 O
0.6259 0.1259 0.5000 O
0.8741 0.3741 0.5000 O
0.2691 0.2691 0.0000 F
0.7309 0.7309 0.0000 F
```

=====

[2]
Structure and theoretical XRD peak list of Li3Pd2O2F3 (a crystal structure in Alexandria, relaxed with GGA-PBE; λ = 1.5418 Å (Cu Kα)).

Most intense lines, 10° ≤ 2θ ≤ 90°, by angle:
8.513 Å, 10.39 deg, I = 100.0; 4.257 Å, 20.87 deg, I = 23.6; 2.838 Å, 31.53 deg, I = 9.6; 2.721 Å, 32.91 deg, I = 29.0; 2.381 Å, 37.79 deg, I = 17.8; 2.031 Å, 44.62 deg, I = 12.6; 2.019 Å, 44.90 deg, I = 9.2; 1.976 Å, 45.94 deg, I = 10.0; 1.833 Å, 49.74 deg, I = 8.8; 1.652 Å, 55.65 deg, I = 7.2

```
Li3Pd2O2F3
1.0
-2.0310 2.0310 8.5130
2.0310 -2.0310 8.5130
2.0310 2.0310 -8.5130
Li Pd O F
3 2 2 3
direct
0.0000 0.0000 0.0000 Li
0.3962 0.3962 0.0000 Li
0.6038 0.6038 0.0000 Li
0.2500 0.7500 0.5000 Pd
0.7500 0.2500 0.5000 Pd
0.2785 0.2785 0.0000 O
0.7215 0.7215 0.0000 O
0.1059 0.1059 0.0000 F
0.5000 0.5000 0.0000 F
0.8941 0.8941 0.0000 F
```